Structure and simulated X-ray diffraction stick pattern of BN (a structure optimized by DFT (GGA-PBE); Cu Kα (weighted mean of Kα1 and Kα2)).
Peak positions follow from Bragg's law for the DFT cell and can differ from measured ones.

Structure:
abc: 2.6665 7.0050 4.2427
angles: 90.00 90.00 90.00
Space group Imm2 (No. 44)
Inequivalent atoms, fractional coordinates:
1 B 0.0000 0.0000 0.0000 (multiplicity 2)
2 B 0.0000 0.1927 0.4748 (multiplicity 4)
3 N 0.0000 0.0000 0.3277 (multiplicity 2)
4 N 0.0000 0.1915 0.8435 (multiplicity 4)

Principal peaks in the range 2θ from 15° to 90°, low angle first:
- 2θ 25.43, rel. 13, hkl 0 2 0
- 2θ 36.04, rel. 100, hkl 1 1 0
- 2θ 42.62, rel. 34, hkl 0 0 2
- 2θ 44.28, rel. 31, hkl 0 3 1
- 2θ 47.94, rel. 36, hkl 1 2 1
- 2θ 57.01, rel. 12, hkl 1 1 2
- 2θ 70.65, rel. 12, hkl 2 0 0
- 2θ 76.86, rel. 17, hkl 1 5 0
- 2θ 79.18, rel. 13, hkl 0 3 3
- 2θ 81.86, rel. 20, hkl 1 2 3